No. 1
The following is a computed X-ray diffraction stick pattern of Rb2ReSCl5. It was derived from a crystal structure in Alexandria, relaxed with GGA-PBE, using Cu Kα (λ = 1.5418 Å).
Peak positions follow from Bragg's law for the DFT cell and can differ from measured ones.

Peak list (12 most intense, 2θ = 10–80°, in order of falling intensity)
(1 0 1), 15.00°, d 5.905, rel. 100
(1 1 2), 24.67°, d 3.608, rel. 59
(2 2 0), 34.93°, d 2.568, rel. 46
(2 1 1), 28.86°, d 3.094, rel. 30
(2 0 0), 24.51°, d 3.632, rel. 29
(2 2 4), 50.59°, d 1.804, rel. 28
(3 1 2), 43.24°, d 2.093, rel. 26
(0 0 4), 35.41°, d 2.535, rel. 21
(2 0 2), 30.27°, d 2.953, rel. 19
(3 2 1), 45.92°, d 1.976, rel. 15
(4 0 0), 50.23°, d 1.816, rel. 15
(1 0 3), 29.14°, d 3.064, rel. 14

Structural model:
abc: 7.2648 7.2648 10.1396
angles: 90.00 90.00 90.00
Space group I4mm (No. 107)
Asymmetric unit:
Rb  0.0000  0.5000  0.0000 x4
Re  0.0000  0.0000  0.2313 x2
S  0.0000  0.0000  0.0165 x2
Cl  0.0000  0.0000  0.4776 x2
Cl  0.2316  0.2316  0.2499 x8

No. 2
The following is a computed X-ray diffraction stick pattern of Rb2RhCl7. It was derived from a crystal structure in Alexandria, relaxed with GGA-PBE, using Cu Kα (λ = 1.5418 Å).
Peak positions follow from Bragg's law for the DFT cell and can differ from measured ones.

Peak list (12 most intense, 2θ = 10–80°, in order of falling intensity)
(1 1 2), 23.49°, d 3.787, rel. 100
(2 2 0), 34.73°, d 2.583, rel. 75
(1 0 1), 14.50°, d 6.108, rel. 55
(2 0 2), 29.24°, d 3.054, rel. 50
(2 2 4), 48.06°, d 1.893, rel. 49
(3 1 2), 42.37°, d 2.133, rel. 46
(2 0 0), 24.36°, d 3.653, rel. 43
(0 0 4), 32.16°, d 2.783, rel. 43
(4 0 0), 49.93°, d 1.827, rel. 24
(4 0 4), 60.64°, d 1.527, rel. 23
(2 0 4), 40.76°, d 2.214, rel. 17
(3 1 6), 64.40°, d 1.447, rel. 16

Structural model:
abc: 7.3064 7.3064 11.1316
angles: 90.00 90.00 90.00
Space group I4/mmm (No. 139)
Asymmetric unit:
Rb  0.0000  0.5000  0.2500 x4
Rh  0.0000  0.0000  0.0000 x2
Cl  0.0000  0.0000  0.2101 x4
Cl  0.0000  0.0000  0.5000 x2
Cl  0.2288  0.2288  0.0000 x8

No. 3
The following is a computed X-ray diffraction stick pattern of Rb3RhCl7. It was derived from a crystal structure in Alexandria, relaxed with GGA-PBE, using Cu Kα (λ = 1.5418 Å).
Peak positions follow from Bragg's law for the DFT cell and can differ from measured ones.

Peak list (12 most intense, 2θ = 10–80°, in order of falling intensity)
(2 1 2), 32.74°, d 2.735, rel. 100
(2 0 1), 22.04°, d 4.032, rel. 90
(2 2 0), 25.46°, d 3.499, rel. 64
(1 1 0), 12.66°, d 6.992, rel. 56
(3 1 0), 28.53°, d 3.128, rel. 49
(2 2 2), 36.42°, d 2.467, rel. 47
(0 0 2), 25.61°, d 3.479, rel. 35
(4 2 2), 48.77°, d 1.867, rel. 34
(3 3 0), 38.61°, d 2.332, rel. 27
(4 2 0), 40.78°, d 2.213, rel. 25
(6 0 2), 62.30°, d 1.490, rel. 24
(5 3 2), 60.69°, d 1.526, rel. 24

Structural model:
abc: 9.8960 9.8960 6.9578
angles: 90.00 90.00 90.00
Space group P4/mbm (No. 127)
Asymmetric unit:
Rb  0.0000  0.0000  0.0000 x2
Rb  0.1764  0.3236  0.5000 x4
Rh  0.0000  0.5000  0.0000 x2
Cl  0.0000  0.0000  0.5000 x2
Cl  0.1172  0.6172  0.2396 x8
Cl  0.1681  0.3319  0.0000 x4

No. 4
The following is a computed X-ray diffraction stick pattern of Rb2SrRhCl6. It was derived from a crystal structure in Alexandria, relaxed with GGA-PBE, using Cu Kα (λ = 1.5418 Å).
Peak positions follow from Bragg's law for the DFT cell and can differ from measured ones.

Peak list (12 most intense, 2θ = 10–80°, in order of falling intensity)
(2 2 0), 23.72°, d 3.751, rel. 100
(4 0 0), 33.79°, d 2.653, rel. 76
(4 4 0), 48.54°, d 1.876, rel. 50
(4 2 2), 41.70°, d 2.166, rel. 44
(6 4 2), 65.87°, d 1.418, rel. 25
(6 2 0), 54.71°, d 1.678, rel. 22
(2 2 2), 29.15°, d 3.063, rel. 17
(4 4 4), 60.45°, d 1.532, rel. 16
(2 0 0), 16.71°, d 5.305, rel. 13
(6 6 0), 76.12°, d 1.250, rel. 11
(8 0 0), 71.08°, d 1.326, rel. 7
(4 2 0), 37.92°, d 2.373, rel. 5

Structural model:
abc: 10.6107 10.6107 10.6107
angles: 90.00 90.00 90.00
Space group Fm-3m (No. 225)
Asymmetric unit:
Rb  0.2500  0.2500  0.2500 x8
Sr  0.0000  0.0000  0.0000 x4
Rh  0.0000  0.0000  0.5000 x4
Cl  0.0000  0.0000  0.2668 x24